Structure and computed powder XRD pattern of Ac2B3Rh4 (the GGA-PBE geometry in Alexandria; Cu Kα (λ = 1.5418 Å)).
Lines closer than 0.1° are merged.

Cell and atoms:
abc: 5.702 9.327 12.095
angles: 90.00 90.00 90.00
Space group Fmmm (No. 69)
Inequivalent atoms, fractional coordinates:
Ac 0.000 0.000 0.149 x8
B 0.000 0.000 0.500 x4
B 0.250 0.250 0.000 x8
Rh 0.000 0.170 0.386 x16

The 10 most intense peaks (2θ from 5° to 70°), in order of falling intensity:
2theta, intensity, h k l
33.7, 100, 1 3 1
39.9, 86, 1 3 3
31.4, 67, 2 0 0
29.5, 60, 0 0 4
43.6, 45, 2 0 4
28.8, 45, 1 1 3
59.5, 24, 0 6 0
61.6, 23, 3 3 3
57.3, 22, 3 3 1
68.8, 16, 2 6 0